# ZnSi3
Theoretical powder X-ray diffraction pattern, Cu Kα, 1.54184 Å. Input: a structure optimized by DFT (PBE).

Cell lengths 3.7984, 3.7984, 8.4724 Å; angles 90.00, 90.00, 90.00 degrees
Space group I4/mmm (No. 139)
One atom of each set of equivalent atoms:
Zn1 0.0000 0.0000 0.0000 (multiplicity 2)
Si1 0.0000 0.0000 0.5000 (multiplicity 2)
Si2 0.0000 0.5000 0.2500 (multiplicity 4)

The 6 most intense peaks (15° ≤ 2θ ≤ 90°), most intense first:
h k l  Position (°2θ)  I (rel.)
1 1 2  39.74  100
2 0 0  47.90  26
1 0 1  25.70  21
3 1 2  83.69  21
2 0 4  66.08  20
0 0 4  42.69  19


# Na2Te2As
Theoretical powder X-ray diffraction pattern, Cu Kα, 1.54184 Å. Input: a structure optimized by DFT (PBE).

Cell lengths 8.8061, 9.9158, 14.0841 Å; angles 90.00, 90.00, 90.00 degrees
Space group P2_12_12_1 (No. 19)
One atom of each set of equivalent atoms:
Na1 0.0753 0.1255 0.3761 (multiplicity 4)
Na2 0.0881 0.6410 0.8701 (multiplicity 4)
Na3 0.1770 0.5606 0.5624 (multiplicity 4)
Na4 0.2318 0.7531 0.3086 (multiplicity 4)
Te1 0.0174 0.8411 0.4995 (multiplicity 4)
Te2 0.0835 0.4505 0.2925 (multiplicity 4)
Te3 0.1030 0.9592 0.7860 (multiplicity 4)
Te4 0.2364 0.2456 0.5669 (multiplicity 4)
As1 0.0995 0.9745 0.0606 (multiplicity 4)
As2 0.2260 0.8516 0.6345 (multiplicity 4)

The 6 most intense peaks (15° ≤ 2θ ≤ 90°), most intense first:
h k l  Position (°2θ)  I (rel.)
2 1 3  29.23  100
1 3 1  29.56  79
2 1 1  22.99  70
1 0 4  27.28  48
0 2 2  21.92  45
3 2 4  44.12  43


# Ta6TiTl2O18
Theoretical powder X-ray diffraction pattern, Cu Kα, 1.54184 Å. Input: a structure optimized by DFT (PBE).

Cell lengths 13.1884, 7.6302, 8.3478 Å; angles 90.00, 90.18, 90.00 degrees
Space group C2 (No. 5)
One atom of each set of equivalent atoms:
Ta1 0.0824 0.0000 0.3487 (multiplicity 4)
Ta2 0.0835 0.5044 0.3484 (multiplicity 4)
Ta3 0.1678 0.2505 0.6514 (multiplicity 4)
Ti1 0.0000 0.2532 0.0000 (multiplicity 2)
Tl1 0.1806 0.7116 0.8072 (multiplicity 4)
O1 0.0506 0.7529 0.3404 (multiplicity 4)
O2 0.0610 0.0735 0.1390 (multiplicity 4)
O3 0.0606 0.4354 0.1380 (multiplicity 4)
O4 0.0709 0.0414 0.6006 (multiplicity 4)
O5 0.0713 0.4662 0.6012 (multiplicity 4)
O6 0.1213 0.2551 0.8617 (multiplicity 4)
O7 0.1421 0.2533 0.3991 (multiplicity 4)
O8 0.2241 0.5798 0.3406 (multiplicity 4)
O9 0.2246 0.9276 0.3392 (multiplicity 4)

The 6 most intense peaks (15° ≤ 2θ ≤ 90°), most intense first:
h k l  Position (°2θ)  I (rel.)
4 0 -1  29.09  100
2 0 2  25.25  37
6 2 0  47.73  25
2 2 0  27.01  24
3 1 1  25.70  20
2 2 -2  34.61  17


# Na2IrN2
Theoretical powder X-ray diffraction pattern, Cu Kα, 1.54184 Å. Input: a structure optimized by DFT (PBE).

Cell lengths 3.2276, 3.2276, 8.5050 Å; angles 90.00, 90.00, 120.00 degrees
Space group P-3m1 (No. 164)
One atom of each set of equivalent atoms:
Na1 0.3333 0.6667 0.2078 (multiplicity 2)
Ir1 0.0000 0.0000 0.5000 (multiplicity 1)
N1 0.3333 0.6667 0.6130 (multiplicity 2)

The 6 most intense peaks (15° ≤ 2θ ≤ 90°), most intense first:
h k l  Position (°2θ)  I (rel.)
1 0 1  33.75  100
0 1 2  38.54  91
0 1 3  45.57  43
1 0 0  32.02  37
0 0 2  20.89  36
1 0 4  54.20  28


# TlCu2Te2
Theoretical powder X-ray diffraction pattern, Cu Kα, 1.54184 Å. Input: a structure optimized by DFT (PBE).

Cell lengths 4.0096, 4.0096, 15.5833 Å; angles 90.00, 90.00, 90.00 degrees
Space group I4/mmm (No. 139)
One atom of each set of equivalent atoms:
Tl1 0.0000 0.0000 0.0000 (multiplicity 2)
Cu1 0.0000 0.5000 0.2500 (multiplicity 4)
Te1 0.0000 0.0000 0.3599 (multiplicity 4)

The 6 most intense peaks (15° ≤ 2θ ≤ 90°), most intense first:
h k l  Position (°2θ)  I (rel.)
1 0 3  28.11  100
2 1 3  54.11  33
1 1 2  33.64  31
1 1 6  47.47  30
2 0 0  45.23  27
1 0 5  36.52  22